Record 1
For Th3Si2Ni6, a DFT-relaxed cell (PBE, Alexandria) gives the computed powder X-ray diffraction pattern in this record (Cu Kα (weighted mean of Kα1 and Kα2)).

a = 7.789 Å, b = 7.789 Å, c = 7.789 Å
α = 109.47°, β = 109.47°, γ = 109.47°
Fractional positions:
Th 0.000 0.291 0.291
Th 0.000 0.709 0.709
Th 0.291 0.000 0.291
Th 0.291 0.291 0.000
Th 0.709 0.000 0.709
Th 0.709 0.709 0.000
Si 0.000 0.000 0.500
Si 0.000 0.500 0.000
Si 0.500 0.000 0.000
Si 0.500 0.500 0.500
Ni 0.000 0.331 0.669
Ni 0.000 0.669 0.331
Ni 0.331 0.000 0.669
Ni 0.331 0.331 0.662
Ni 0.331 0.662 0.331
Ni 0.331 0.669 0.000
Ni 0.338 0.669 0.669
Ni 0.662 0.331 0.331
Ni 0.669 0.000 0.331
Ni 0.669 0.331 0.000
Ni 0.669 0.338 0.669
Ni 0.669 0.669 0.338

Peak list (10 most intense, 10° ≤ 2θ ≤ 90°, sorted by position)
2θ = 24.24°, rel. 43; 2θ = 31.45°, rel. 55; 2θ = 34.55°, rel. 39; 2θ = 37.41°, rel. 25; 2θ = 40.10°, rel. 27; 2θ = 42.65°, rel. 100; 2θ = 56.00°, rel. 28; 2θ = 59.97°, rel. 19; 2θ = 63.79°, rel. 21; 2θ = 78.08°, rel. 29

Record 2
For Ti3Si3Ni, a DFT-relaxed cell (PBE, Alexandria) gives the computed powder X-ray diffraction pattern in this record (Cu Kα (weighted mean of Kα1 and Kα2)).

a = 5.061 Å, b = 5.061 Å, c = 12.272 Å
α = 108.25°, β = 108.25°, γ = 42.74°
Fractional positions:
Ti 0.016 0.016 0.376
Ti 0.105 0.105 0.920
Ti 0.243 0.243 0.226
Ti 0.757 0.757 0.774
Ti 0.895 0.895 0.080
Ti 0.984 0.984 0.624
Si 0.368 0.368 0.454
Si 0.380 0.380 0.925
Si 0.475 0.475 0.767
Si 0.525 0.525 0.233
Si 0.620 0.620 0.075
Si 0.632 0.632 0.546
Ni 0.266 0.266 0.604
Ni 0.734 0.734 0.396

Peak list (10 most intense, 10° ≤ 2θ ≤ 90°, sorted by position)
2θ = 32.77°, rel. 25; 2θ = 37.42°, rel. 100; 2θ = 37.69°, rel. 34; 2θ = 38.00°, rel. 26; 2θ = 38.18°, rel. 71; 2θ = 39.92°, rel. 26; 2θ = 43.28°, rel. 44; 2θ = 46.01°, rel. 67; 2θ = 46.21°, rel. 25; 2θ = 49.42°, rel. 51

Record 3
For Tm3Si2Ni2, a DFT-relaxed cell (PBE, Alexandria) gives the computed powder X-ray diffraction pattern in this record (Cu Kα (weighted mean of Kα1 and Kα2)).

a = 5.448 Å, b = 7.623 Å, c = 12.365 Å
α = 90.00°, β = 90.00°, γ = 90.00°
Fractional positions:
Tm 0.134 0.107 0.102
Tm 0.134 0.107 0.398
Tm 0.134 0.393 0.602
Tm 0.134 0.393 0.898
Tm 0.365 0.749 0.250
Tm 0.365 0.751 0.750
Tm 0.635 0.249 0.250
Tm 0.635 0.251 0.750
Tm 0.866 0.607 0.102
Tm 0.866 0.607 0.398
Tm 0.866 0.893 0.602
Tm 0.866 0.893 0.898
Si 0.155 0.101 0.750
Si 0.155 0.399 0.250
Si 0.354 0.750 0.000
Si 0.354 0.750 0.500
Si 0.646 0.250 0.000
Si 0.646 0.250 0.500
Si 0.845 0.601 0.750
Si 0.845 0.899 0.250
Ni 0.381 0.036 0.589
Ni 0.381 0.036 0.911
Ni 0.381 0.464 0.089
Ni 0.381 0.464 0.411
Ni 0.619 0.536 0.589
Ni 0.619 0.536 0.911
Ni 0.619 0.964 0.089
Ni 0.619 0.964 0.411

Peak list (10 most intense, 10° ≤ 2θ ≤ 90°, sorted by position)
2θ = 24.71°, rel. 50; 2θ = 29.54°, rel. 53; 2θ = 31.98°, rel. 50; 2θ = 34.98°, rel. 79; 2θ = 35.40°, rel. 78; 2θ = 36.08°, rel. 67; 2θ = 37.46°, rel. 46; 2θ = 39.12°, rel. 79; 2θ = 41.46°, rel. 100; 2θ = 43.94°, rel. 41

Record 4
For TmSi4Ni4, a DFT-relaxed cell (PBE, Alexandria) gives the computed powder X-ray diffraction pattern in this record (Cu Kα (weighted mean of Kα1 and Kα2)).

a = 5.612 Å, b = 5.612 Å, c = 7.782 Å
α = 90.00°, β = 90.00°, γ = 90.00°
Fractional positions:
Tm 0.250 0.750 0.250
Tm 0.750 0.250 0.750
Si 0.038 0.250 0.067
Si 0.250 0.038 0.567
Si 0.250 0.462 0.567
Si 0.462 0.250 0.067
Si 0.538 0.750 0.933
Si 0.750 0.538 0.433
Si 0.750 0.962 0.433
Si 0.962 0.750 0.933
Ni 0.024 0.250 0.362
Ni 0.250 0.024 0.862
Ni 0.250 0.476 0.862
Ni 0.476 0.250 0.362
Ni 0.524 0.750 0.638
Ni 0.750 0.524 0.138
Ni 0.750 0.976 0.138
Ni 0.976 0.750 0.638

Peak list (10 most intense, 10° ≤ 2θ ≤ 90°, sorted by position)
2θ = 31.89°, rel. 14; 2θ = 32.22°, rel. 27; 2θ = 37.66°, rel. 100; 2θ = 38.22°, rel. 37; 2θ = 39.60°, rel. 13; 2θ = 47.75°, rel. 17; 2θ = 60.67°, rel. 13; 2θ = 61.07°, rel. 16; 2θ = 66.66°, rel. 12; 2θ = 67.42°, rel. 16

Record 5
For Tm3Si7Ni2, a DFT-relaxed cell (PBE, Alexandria) gives the computed powder X-ray diffraction pattern in this record (Cu Kα (weighted mean of Kα1 and Kα2)).

a = 4.028 Å, b = 3.993 Å, c = 12.318 Å
α = 90.00°, β = 98.69°, γ = 90.00°
Fractional positions:
Tm 0.000 0.000 0.000
Tm 0.308 0.500 0.632
Tm 0.692 0.500 0.368
Si 0.143 0.500 0.175
Si 0.226 0.000 0.447
Si 0.409 0.000 0.825
Si 0.500 0.500 0.000
Si 0.591 0.000 0.175
Si 0.774 0.000 0.553
Si 0.857 0.500 0.825
Ni 0.125 0.000 0.261
Ni 0.875 0.000 0.739

Peak list (10 most intense, 10° ≤ 2θ ≤ 90°, sorted by position)
2θ = 21.90°, rel. 56; 2θ = 23.45°, rel. 73; 2θ = 24.55°, rel. 34; 2θ = 24.80°, rel. 43; 2θ = 31.77°, rel. 87; 2θ = 36.53°, rel. 87; 2θ = 36.84°, rel. 100; 2θ = 37.14°, rel. 94; 2θ = 45.02°, rel. 49; 2θ = 45.43°, rel. 49

Record 6
For Tm2Si4Ni5, a DFT-relaxed cell (PBE, Alexandria) gives the computed powder X-ray diffraction pattern in this record (Cu Kα (weighted mean of Kα1 and Kα2)).

a = 8.097 Å, b = 7.207 Å, c = 5.252 Å
α = 79.38°, β = 61.02°, γ = 39.60°
Fractional positions:
Tm 0.139 0.139 0.861
Tm 0.861 0.861 0.139
Si 0.218 0.516 0.484
Si 0.484 0.782 0.218
Si 0.516 0.218 0.782
Si 0.782 0.484 0.516
Ni 0.000 0.000 0.500
Ni 0.250 0.250 0.250
Ni 0.500 0.500 0.000
Ni 0.500 0.500 0.500
Ni 0.750 0.750 0.750

Peak list (10 most intense, 10° ≤ 2θ ≤ 90°, sorted by position)
2θ = 20.55°, rel. 19; 2θ = 27.93°, rel. 84; 2θ = 33.22°, rel. 67; 2θ = 34.82°, rel. 26; 2θ = 39.47°, rel. 73; 2θ = 39.79°, rel. 100; 2θ = 43.62°, rel. 53; 2θ = 60.45°, rel. 18; 2θ = 69.57°, rel. 19; 2θ = 71.92°, rel. 17

Record 7
For Tm2Si6Ni9, a DFT-relaxed cell (PBE, Alexandria) gives the computed powder X-ray diffraction pattern in this record (Cu Kα (weighted mean of Kα1 and Kα2)).

a = 5.091 Å, b = 5.091 Å, c = 10.835 Å
α = 90.00°, β = 90.00°, γ = 120.00°
Fractional positions:
Tm 0.000 0.000 0.185
Tm 0.000 0.000 0.815
Si 0.333 0.667 0.165
Si 0.333 0.667 0.500
Si 0.333 0.667 0.835
Si 0.667 0.333 0.165
Si 0.667 0.333 0.500
Si 0.667 0.333 0.835
Ni 0.000 0.500 0.000
Ni 0.000 0.500 0.332
Ni 0.000 0.500 0.668
Ni 0.500 0.000 0.000
Ni 0.500 0.000 0.332
Ni 0.500 0.000 0.668
Ni 0.500 0.500 0.000
Ni 0.500 0.500 0.332
Ni 0.500 0.500 0.668

Peak list (10 most intense, 10° ≤ 2θ ≤ 90°, sorted by position)
2θ = 21.76°, rel. 23; 2θ = 26.06°, rel. 44; 2θ = 32.04°, rel. 91; 2θ = 40.94°, rel. 90; 2θ = 43.50°, rel. 100; 2θ = 50.54°, rel. 23; 2θ = 61.26°, rel. 28; 2θ = 66.99°, rel. 32; 2θ = 68.99°, rel. 25; 2θ = 74.57°, rel. 24

Record 8
For USi3Ni9, a DFT-relaxed cell (PBE, Alexandria) gives the computed powder X-ray diffraction pattern in this record (Cu Kα (weighted mean of Kα1 and Kα2)).

a = 6.258 Å, b = 6.258 Å, c = 6.064 Å
α = 98.00°, β = 98.00°, γ = 134.78°
Fractional positions:
U 0.000 0.000 0.000
Si 0.000 0.500 0.000
Si 0.500 0.000 0.000
Si 0.500 0.500 0.500
Ni 0.000 0.000 0.500
Ni 0.017 0.667 0.661
Ni 0.287 0.510 0.780
Ni 0.333 0.983 0.339
Ni 0.490 0.713 0.220
Ni 0.510 0.287 0.780
Ni 0.667 0.017 0.661
Ni 0.713 0.490 0.220
Ni 0.983 0.333 0.339

Peak list (10 most intense, 10° ≤ 2θ ≤ 90°, sorted by position)
2θ = 21.25°, rel. 26; 2θ = 30.59°, rel. 30; 2θ = 37.41°, rel. 41; 2θ = 37.85°, rel. 35; 2θ = 38.75°, rel. 43; 2θ = 43.28°, rel. 31; 2θ = 44.09°, rel. 46; 2θ = 44.34°, rel. 100; 2θ = 44.87°, rel. 56; 2θ = 45.65°, rel. 27

Record 9
For V12Si3Ni, a DFT-relaxed cell (PBE, Alexandria) gives the computed powder X-ray diffraction pattern in this record (Cu Kα (weighted mean of Kα1 and Kα2)).

a = 4.682 Å, b = 4.696 Å, c = 9.408 Å
α = 90.00°, β = 90.00°, γ = 90.00°
Fractional positions:
V 0.000 0.000 0.119
V 0.000 0.000 0.369
V 0.000 0.000 0.631
V 0.000 0.000 0.881
V 0.251 0.500 0.250
V 0.251 0.500 0.750
V 0.500 0.246 0.500
V 0.500 0.252 0.000
V 0.500 0.748 0.000
V 0.500 0.754 0.500
V 0.749 0.500 0.250
V 0.749 0.500 0.750
Si 0.000 0.500 0.500
Si 0.500 0.000 0.251
Si 0.500 0.000 0.749
Ni 0.000 0.500 0.000

Peak list (10 most intense, 10° ≤ 2θ ≤ 90°, sorted by position)
2θ = 38.30°, rel. 28; 2θ = 38.45°, rel. 14; 2θ = 43.05°, rel. 100; 2θ = 43.17°, rel. 50; 2θ = 47.41°, rel. 57; 2θ = 47.51°, rel. 28; 2θ = 69.35°, rel. 13; 2θ = 72.53°, rel. 15; 2θ = 75.75°, rel. 19; 2θ = 75.91°, rel. 19

Record 10
For V3SiNi2, a DFT-relaxed cell (PBE, Alexandria) gives the computed powder X-ray diffraction pattern in this record (Cu Kα (weighted mean of Kα1 and Kα2)).

a = 7.520 Å, b = 7.520 Å, c = 7.520 Å
α = 60.00°, β = 60.00°, γ = 60.00°
Fractional positions:
V 0.074 0.074 0.676
V 0.074 0.676 0.074
V 0.074 0.676 0.676
V 0.324 0.324 0.926
V 0.324 0.926 0.324
V 0.324 0.926 0.926
V 0.676 0.074 0.074
V 0.676 0.074 0.676
V 0.676 0.676 0.074
V 0.926 0.324 0.324
V 0.926 0.324 0.926
V 0.926 0.926 0.324
Si 0.000 0.500 0.500
Si 0.500 0.000 0.500
Si 0.500 0.500 0.000
Si 0.500 0.500 0.500
Ni 0.288 0.288 0.288
Ni 0.288 0.288 0.635
Ni 0.288 0.635 0.288
Ni 0.365 0.712 0.712
Ni 0.635 0.288 0.288
Ni 0.712 0.365 0.712
Ni 0.712 0.712 0.365
Ni 0.712 0.712 0.712

Peak list (10 most intense, 10° ≤ 2θ ≤ 90°, sorted by position)
2θ = 14.43°, rel. 13; 2θ = 29.09°, rel. 14; 2θ = 41.60°, rel. 27; 2θ = 44.26°, rel. 100; 2θ = 48.42°, rel. 28; 2θ = 51.57°, rel. 13; 2θ = 67.67°, rel. 9; 2θ = 75.92°, rel. 24; 2θ = 77.78°, rel. 7; 2θ = 83.28°, rel. 7

Record 11
For V4SiNi2, a DFT-relaxed cell (PBE, Alexandria) gives the computed powder X-ray diffraction pattern in this record (Cu Kα (weighted mean of Kα1 and Kα2)).

a = 6.607 Å, b = 6.607 Å, c = 6.607 Å
α = 141.74°, β = 141.74°, γ = 55.22°
Fractional positions:
V 0.000 0.500 0.500
V 0.199 0.199 0.000
V 0.500 0.000 0.500
V 0.801 0.801 0.000
Si 0.000 0.000 0.000
Ni 0.388 0.388 0.000
Ni 0.612 0.612 0.000

Peak list (10 most intense, 10° ≤ 2θ ≤ 90°, sorted by position)
2θ = 15.13°, rel. 28; 2θ = 29.16°, rel. 54; 2θ = 33.01°, rel. 53; 2θ = 41.71°, rel. 100; 2θ = 42.73°, rel. 41; 2θ = 43.96°, rel. 82; 2θ = 60.47°, rel. 30; 2θ = 62.20°, rel. 54; 2θ = 76.85°, rel. 12; 2θ = 77.71°, rel. 13